Structure and computed powder diffraction line list of Pa4SbSe3 (a GGA-PBE-relaxed structure; Cu Kα).

Peak list (12 most intense, 5 to 70 degrees two-theta, by angle)
- 26.0 deg, I 18
- 26.7 deg, I 16
- 30.5 deg, I 100
- 42.8 deg, I 14
- 43.6 deg, I 49
- 44.6 deg, I 11
- 51.1 deg, I 6
- 51.5 deg, I 3
- 52.3 deg, I 5
- 53.4 deg, I 14
- 55.0 deg, I 12
- 63.4 deg, I 12

Crystal structure
```
Pa4SbSe3
1.0
4.0643 -5.8697 0.0000
4.0643 5.8697 0.0000
0.0000 0.0000 4.2302
Pa Sb Se
4 1 3
direct
0.2290 0.2290 0.5000 Pa
0.2401 0.7599 0.0000 Pa
0.7599 0.2401 0.0000 Pa
0.7710 0.7710 0.5000 Pa
0.5000 0.5000 0.0000 Sb
0.0000 0.0000 0.0000 Se
0.0000 0.5000 0.5000 Se
0.5000 0.0000 0.5000 Se
```

Structure and computed powder diffraction line list of PaSbSe3 (a GGA-PBE-relaxed structure; Cu Kα).

Peak list (12 most intense, 5 to 70 degrees two-theta, by angle)
- 13.1 deg, I 61
- 13.7 deg, I 68
- 14.7 deg, I 32
- 16.7 deg, I 70
- 21.2 deg, I 26
- 25.6 deg, I 52
- 28.7 deg, I 100
- 29.1 deg, I 63
- 32.3 deg, I 62
- 37.5 deg, I 26
- 40.1 deg, I 31
- 40.5 deg, I 34

Crystal structure
```
PaSbSe3
1.0
6.9292 0.0000 0.0000
0.3231 7.1335 0.0000
1.6333 3.0570 6.4829
Pa Sb Se
2 2 6
direct
0.0275 0.3221 0.3290 Pa
0.9725 0.6779 0.6710 Pa
0.4695 0.6442 0.0855 Sb
0.5305 0.3558 0.9145 Sb
0.1271 0.7360 0.9792 Se
0.2407 0.4198 0.5544 Se
0.2468 0.9803 0.3745 Se
0.7532 0.0197 0.6255 Se
0.7593 0.5802 0.4456 Se
0.8729 0.2640 0.0208 Se
```

Structure and computed powder diffraction line list of Pa4SnSb5 (a GGA-PBE-relaxed structure; Cu Kα).

Peak list (12 most intense, 5 to 70 degrees two-theta, by angle)
- 9.5 deg, I 3
- 23.9 deg, I 4
- 25.2 deg, I 9
- 28.8 deg, I 100
- 31.7 deg, I 2
- 40.3 deg, I 39
- 42.0 deg, I 37
- 48.8 deg, I 11
- 51.7 deg, I 20
- 59.6 deg, I 13
- 66.3 deg, I 17
- 68.7 deg, I 17

Crystal structure
```
Pa4SnSb5
1.0
2.1533 1.2432 18.6631
-2.1533 1.2432 18.6631
0.0000 -2.4864 18.6631
Pa Sn Sb
4 1 5
direct
0.0972 0.0972 0.0972 Pa
0.3007 0.3007 0.3007 Pa
0.6993 0.6993 0.6993 Pa
0.9028 0.9028 0.9028 Pa
0.5000 0.5000 0.5000 Sn
0.0000 0.0000 0.0000 Sb
0.2024 0.2024 0.2024 Sb
0.3984 0.3984 0.3984 Sb
0.6016 0.6016 0.6016 Sb
0.7976 0.7976 0.7976 Sb
```

Structure and computed powder diffraction line list of TbPa4Sb5 (a GGA-PBE-relaxed structure; Cu Kα).

Peak list (10 most intense, 5 to 70 degrees two-theta, by angle)
- 12.8 deg, I 1
- 17.0 deg, I 1
- 25.0 deg, I 14
- 28.9 deg, I 100
- 41.4 deg, I 77
- 48.9 deg, I 8
- 51.3 deg, I 28
- 59.9 deg, I 13
- 66.0 deg, I 3
- 67.9 deg, I 36

Crystal structure
```
TbPa4Sb5
1.0
-4.8801 4.8801 3.0863
4.8801 -4.8801 3.0863
4.8801 4.8801 -3.0863
Tb Pa Sb
1 4 5
direct
0.0000 0.0000 0.0000 Tb
0.2002 0.6004 0.8005 Pa
0.3996 0.2002 0.5998 Pa
0.6004 0.7998 0.4002 Pa
0.7998 0.3996 0.1995 Pa
0.1000 0.2994 0.3994 Sb
0.2994 0.9000 0.1995 Sb
0.5000 0.5000 0.0000 Sb
0.7006 0.1000 0.8005 Sb
0.9000 0.7006 0.6006 Sb
```

Structure and computed powder diffraction line list of Pa4Tc7Sb6 (a GGA-PBE-relaxed structure; Cu Kα).

Peak list (12 most intense, 5 to 70 degrees two-theta, by angle)
- 28.7 deg, I 32
- 32.2 deg, I 8
- 35.4 deg, I 100
- 38.3 deg, I 8
- 41.1 deg, I 59
- 43.7 deg, I 10
- 46.2 deg, I 11
- 48.6 deg, I 10
- 50.9 deg, I 7
- 59.5 deg, I 31
- 63.6 deg, I 9
- 67.4 deg, I 13

Crystal structure
```
Pa4Tc7Sb6
1.0
-4.3915 4.3915 4.3915
4.3915 -4.3915 4.3915
4.3915 4.3915 -4.3915
Pa Tc Sb
4 7 6
direct
0.0000 0.0000 0.5000 Pa
0.0000 0.5000 0.0000 Pa
0.5000 0.0000 0.0000 Pa
0.5000 0.5000 0.5000 Pa
0.0000 0.0000 0.0000 Tc
0.2500 0.5000 0.7500 Tc
0.2500 0.7500 0.5000 Tc
0.5000 0.2500 0.7500 Tc
0.5000 0.7500 0.2500 Tc
0.7500 0.2500 0.5000 Tc
0.7500 0.5000 0.2500 Tc
0.0000 0.3100 0.3100 Sb
0.0000 0.6900 0.6900 Sb
0.3100 0.0000 0.3100 Sb
0.3100 0.3100 0.0000 Sb
0.6900 0.0000 0.6900 Sb
0.6900 0.6900 0.0000 Sb
```

Structure and computed powder diffraction line list of Pa2Tc4Sb (a GGA-PBE-relaxed structure; Cu Kα).

Peak list (12 most intense, 5 to 70 degrees two-theta, by angle)
- 20.1 deg, I 20
- 30.7 deg, I 26
- 32.0 deg, I 100
- 35.5 deg, I 17
- 36.8 deg, I 42
- 40.1 deg, I 42
- 40.5 deg, I 36
- 40.9 deg, I 17
- 43.1 deg, I 45
- 55.4 deg, I 22
- 60.3 deg, I 17
- 66.8 deg, I 28

Crystal structure
```
Pa2Tc4Sb
1.0
5.1259 -2.9109 0.0000
5.1259 2.9109 0.0000
0.0000 0.0000 8.9859
Pa Tc Sb
4 8 2
direct
0.1507 0.1507 0.0000 Pa
0.3493 0.3493 0.5000 Pa
0.6507 0.6507 0.5000 Pa
0.8493 0.8493 0.0000 Pa
0.1937 0.3063 0.7500 Tc
0.2217 0.7783 0.7547 Tc
0.2783 0.7217 0.2547 Tc
0.3063 0.1937 0.2500 Tc
0.6937 0.8063 0.7500 Tc
0.7217 0.2783 0.7453 Tc
0.7783 0.2217 0.2453 Tc
0.8063 0.6937 0.2500 Tc
0.0000 0.0000 0.5000 Sb
0.5000 0.5000 0.0000 Sb
```

Structure and computed powder diffraction line list of Pa3TcSb2 (a GGA-PBE-relaxed structure; Cu Kα).

Peak list (12 most intense, 5 to 70 degrees two-theta, by angle)
- 26.1 deg, I 11
- 26.9 deg, I 16
- 30.2 deg, I 22
- 31.2 deg, I 16
- 32.1 deg, I 100
- 34.1 deg, I 18
- 34.4 deg, I 18
- 35.6 deg, I 18
- 36.5 deg, I 32
- 41.0 deg, I 22
- 44.1 deg, I 26
- 55.5 deg, I 14

Crystal structure
```
Pa3TcSb2
1.0
12.7861 0.0000 0.0000
0.0000 4.1104 0.0000
0.0000 0.0000 11.4113
Pa Tc Sb
12 4 8
direct
0.0542 0.2500 0.1145 Pa
0.1307 0.7500 0.5416 Pa
0.2451 0.7500 0.2571 Pa
0.2549 0.2500 0.7571 Pa
0.3693 0.2500 0.0416 Pa
0.4458 0.7500 0.6145 Pa
0.5542 0.2500 0.3855 Pa
0.6307 0.7500 0.9584 Pa
0.7451 0.7500 0.2429 Pa
0.7549 0.2500 0.7429 Pa
0.8693 0.2500 0.4584 Pa
0.9458 0.7500 0.8855 Pa
0.1230 0.2500 0.3630 Tc
0.3770 0.7500 0.8630 Tc
0.6230 0.2500 0.1370 Tc
0.8770 0.7500 0.6370 Tc
0.0139 0.2500 0.7003 Sb
0.1844 0.7500 0.9729 Sb
0.3156 0.2500 0.4729 Sb
0.4861 0.7500 0.2003 Sb
0.5139 0.2500 0.7997 Sb
0.6844 0.7500 0.5271 Sb
0.8156 0.2500 0.0271 Sb
0.9861 0.7500 0.2997 Sb
```

Structure and computed powder diffraction line list of PaSbTe3 (a GGA-PBE-relaxed structure; Cu Kα).

Peak list (12 most intense, 5 to 70 degrees two-theta, by angle)
- 14.8 deg, I 100
- 15.6 deg, I 50
- 15.9 deg, I 86
- 29.1 deg, I 46
- 30.3 deg, I 82
- 31.4 deg, I 55
- 33.5 deg, I 100
- 35.5 deg, I 70
- 36.1 deg, I 48
- 37.5 deg, I 57
- 37.8 deg, I 44
- 39.8 deg, I 46

Crystal structure
```
PaSbTe3
1.0
9.6602 0.0000 0.0000
0.0000 7.7435 0.0000
-6.3373 0.0000 9.4688
Pa Sb Te
4 4 12
direct
0.2471 0.1165 0.0730 Pa
0.2471 0.3835 0.5730 Pa
0.7529 0.6165 0.4270 Pa
0.7529 0.8835 0.9270 Pa
0.4494 0.6842 0.4706 Sb
0.4494 0.8158 0.9706 Sb
0.5506 0.1842 0.0294 Sb
0.5506 0.3158 0.5294 Sb
0.1120 0.7238 0.5905 Te
0.1120 0.7762 0.0905 Te
0.2000 0.2301 0.7987 Te
0.2000 0.2699 0.2987 Te
0.4449 0.0453 0.6730 Te
0.4449 0.4547 0.1730 Te
0.5551 0.5453 0.8270 Te
0.5551 0.9547 0.3270 Te
0.8000 0.7301 0.7013 Te
0.8000 0.7699 0.2013 Te
0.8880 0.2238 0.9095 Te
0.8880 0.2762 0.4095 Te
```

Structure and computed powder diffraction line list of Pa4SbTe4 (a GGA-PBE-relaxed structure; Cu Kα).

Peak list (12 most intense, 5 to 70 degrees two-theta, by angle)
- 8.3 deg, I 16
- 19.6 deg, I 8
- 20.2 deg, I 9
- 22.4 deg, I 7
- 23.9 deg, I 8
- 27.6 deg, I 5
- 33.9 deg, I 100
- 34.2 deg, I 97
- 48.9 deg, I 36
- 60.7 deg, I 19
- 60.9 deg, I 37
- 61.4 deg, I 19

Crystal structure
```
Pa4SbTe4
1.0
2.6423 1.5255 10.6718
-2.6423 1.5255 10.6718
0.0000 -3.0511 10.6718
Pa Sb Te
4 1 4
direct
0.1021 0.1021 0.1021 Pa
0.2997 0.2997 0.2997 Pa
0.7003 0.7003 0.7003 Pa
0.8979 0.8979 0.8979 Pa
0.0000 0.0000 0.0000 Sb
0.2015 0.2015 0.2015 Te
0.3994 0.3994 0.3994 Te
0.6006 0.6006 0.6006 Te
0.7985 0.7985 0.7985 Te
```

Structure and computed powder diffraction line list of TmTh2PaSb5 (a GGA-PBE-relaxed structure; Cu Kα).

Peak list (12 most intense, 5 to 70 degrees two-theta, by angle)
- 7.7 deg, I 40
- 23.0 deg, I 27
- 24.1 deg, I 100
- 28.8 deg, I 33
- 31.0 deg, I 28
- 33.6 deg, I 65
- 34.3 deg, I 92
- 35.5 deg, I 23
- 46.9 deg, I 35
- 49.3 deg, I 33
- 55.6 deg, I 21
- 61.0 deg, I 24

Crystal structure
```
TmTh2PaSb5
1.0
5.2258 0.0000 0.0000
0.0000 5.2258 0.0000
0.0000 0.0000 11.5498
Tm Th Pa Sb
1 2 1 5
direct
0.0000 0.0000 0.0000 Tm
0.5000 0.5000 0.1857 Th
0.5000 0.5000 0.8143 Th
0.0000 0.0000 0.5000 Pa
0.0000 0.0000 0.2509 Sb
0.0000 0.0000 0.7491 Sb
0.0000 0.5000 0.0000 Sb
0.5000 0.0000 0.0000 Sb
0.5000 0.5000 0.5000 Sb
```

Structure and computed powder diffraction line list of PaVSb (a GGA-PBE-relaxed structure; Cu Kα).

Peak list (12 most intense, 5 to 70 degrees two-theta, by angle)
- 6.2 deg, I 39
- 12.4 deg, I 42
- 30.0 deg, I 76
- 31.2 deg, I 22
- 36.1 deg, I 100
- 40.4 deg, I 13
- 40.7 deg, I 48
- 52.1 deg, I 21
- 56.4 deg, I 11
- 56.6 deg, I 10
- 58.9 deg, I 16
- 67.5 deg, I 16

Crystal structure
```
PaVSb
1.0
-1.5686 1.5686 14.3331
1.5686 -1.5686 14.3331
1.5686 1.5686 -14.3331
Pa V Sb
2 2 2
direct
0.1570 0.1570 0.0000 Pa
0.8430 0.8430 0.0000 Pa
0.2724 0.2724 0.0000 V
0.7276 0.7276 0.0000 V
0.4323 0.4323 0.0000 Sb
0.5677 0.5677 0.0000 Sb
```

Structure and computed powder diffraction line list of Y2PaSb3 (a GGA-PBE-relaxed structure; Cu Kα).

Peak list (12 most intense, 5 to 70 degrees two-theta, by angle)
- 12.1 deg, I 5
- 15.8 deg, I 2
- 16.9 deg, I 3
- 18.8 deg, I 4
- 22.2 deg, I 3
- 28.8 deg, I 100
- 31.4 deg, I 2
- 41.2 deg, I 76
- 51.1 deg, I 27
- 59.7 deg, I 13
- 67.6 deg, I 29
- 67.7 deg, I 6

Crystal structure
```
Y2PaSb3
1.0
6.2012 0.0000 0.0000
0.0000 13.1312 0.0000
-0.0015 0.0000 8.7637
Y Pa Sb
8 4 12
direct
0.2489 0.2492 0.3759 Y
0.2489 0.2508 0.8759 Y
0.2505 0.5834 0.8764 Y
0.2505 0.9166 0.3764 Y
0.7495 0.0834 0.6236 Y
0.7495 0.4166 0.1236 Y
0.7511 0.7492 0.1241 Y
0.7511 0.7508 0.6241 Y
0.2506 0.5831 0.3759 Pa
0.2506 0.9169 0.8759 Pa
0.7494 0.0831 0.1241 Pa
0.7494 0.4169 0.6241 Pa
0.2494 0.0836 0.1261 Sb
0.2494 0.4164 0.6261 Sb
0.2495 0.0821 0.6272 Sb
0.2495 0.4179 0.1272 Sb
0.2510 0.7497 0.1255 Sb
0.2510 0.7503 0.6255 Sb
0.7490 0.2497 0.3745 Sb
0.7490 0.2503 0.8745 Sb
0.7505 0.5821 0.8728 Sb
0.7505 0.9179 0.3728 Sb
0.7506 0.5836 0.3739 Sb
0.7506 0.9164 0.8739 Sb
```

Structure and computed powder diffraction line list of Y4PaSb5 (a GGA-PBE-relaxed structure; Cu Kα).

Peak list (12 most intense, 5 to 70 degrees two-theta, by angle)
- 12.8 deg, I 5
- 16.9 deg, I 6
- 18.1 deg, I 2
- 24.9 deg, I 2
- 28.8 deg, I 100
- 31.6 deg, I 1
- 36.1 deg, I 2
- 40.6 deg, I 2
- 41.2 deg, I 76
- 51.0 deg, I 27
- 59.6 deg, I 13
- 67.6 deg, I 34

Crystal structure
```
Y4PaSb5
1.0
-4.8998 4.8998 3.1032
4.8998 -4.8998 3.1032
4.8998 4.8998 -3.1032
Y Pa Sb
4 1 5
direct
0.0993 0.3013 0.4007 Y
0.3013 0.9007 0.2020 Y
0.6987 0.0993 0.7980 Y
0.9007 0.6987 0.5993 Y
0.5000 0.5000 0.0000 Pa
0.0000 0.0000 0.0000 Sb
0.2022 0.5990 0.8012 Sb
0.4010 0.2022 0.6032 Sb
0.5990 0.7978 0.3968 Sb
0.7978 0.4010 0.1988 Sb
```